(1)
Structure and computed powder X-ray diffraction pattern of ErNbOs2 (a DFT-relaxed cell (PBE, the Materials Project); Cu Kα X-rays).
Lines closer than 0.1° are merged.

Main lines, in order of rising 2θ (2θ from 5° to 70°):
| two_theta | I/Imax |
| --- | --- |
| 23.5 | 3 |
| 27.2 | 4 |
| 38.9 | 100 |
| 45.9 | 2 |
| 56.1 | 17 |
| 63.5 | 2 |

Structural model:
Lattice parameters (Å, degrees): 4.635 4.635 4.635 60.00 60.00 60.00
Element x y z (fractional)
1 Er 0.000 0.000 0.000
2 Nb 0.500 0.500 0.500
3 Os 0.250 0.250 0.250
4 Os 0.750 0.750 0.750

---

(2)
Structure and computed powder X-ray diffraction pattern of Na3TaTiSi3O12 (a DFT-relaxed cell (PBE, the Materials Project); Cu Kα X-rays).
Lines closer than 0.1° are merged.

Main lines, in order of rising 2θ (2θ from 5° to 70°):
| two_theta | I/Imax |
| --- | --- |
| 13.9 | 32 |
| 19.7 | 100 |
| 31.3 | 20 |
| 31.4 | 39 |
| 34.5 | 29 |
| 45.1 | 17 |

Structural model:
Lattice parameters (Å, degrees): 9.027 9.027 8.985 119.83 119.83 59.76
Element x y z (fractional)
1 Na 0.053 0.947 0.500
2 Na 0.214 0.669 0.088
3 Na 0.574 0.811 0.343
4 Na 0.669 0.214 0.588
5 Na 0.811 0.574 0.843
6 Na 0.947 0.053 0.000
7 Ta 0.052 0.545 0.244
8 Ta 0.545 0.052 0.744
9 Ti 0.336 0.836 0.951
10 Ti 0.836 0.336 0.451
11 Si 0.150 0.231 0.853
12 Si 0.231 0.150 0.353
13 Si 0.443 0.654 0.559
14 Si 0.654 0.443 0.059
15 Si 0.723 0.949 0.146
16 Si 0.949 0.723 0.646
17 O 0.059 0.185 0.396
18 O 0.115 0.760 0.835
19 O 0.127 0.425 0.022
20 O 0.185 0.059 0.896
21 O 0.185 0.329 0.308
22 O 0.255 0.965 0.180
23 O 0.261 0.642 0.377
24 O 0.329 0.185 0.808
25 O 0.397 0.708 0.738
26 O 0.425 0.127 0.522
27 O 0.470 0.618 0.044
28 O 0.485 0.827 0.589
29 O 0.553 0.901 0.108
30 O 0.618 0.470 0.544
31 O 0.642 0.261 0.877
32 O 0.693 0.980 0.964
33 O 0.708 0.397 0.238
34 O 0.760 0.115 0.335
35 O 0.770 0.913 0.663
36 O 0.827 0.485 0.089
37 O 0.901 0.553 0.608
38 O 0.913 0.770 0.163
39 O 0.965 0.255 0.680
40 O 0.980 0.693 0.464